1.
# Ho6Er2Co
Theoretical powder diffractogram, Cu Kα X-rays. Input: DFT lattice parameters and positions (GGA-PBE).
Kinematic intensities with the Lorentz-polarization factor, no thermal factor.

Top 10 peaks for 10 to 90 degrees two-theta, sorted by position:
2theta	I (rel.)	index
11.09	29	1 1 0
30.12	52	3 1 0
31.15	100	1 3 1
31.70	99	0 6 0
33.60	87	2 2 1
33.71	60	3 3 0
38.45	56	2 4 1
42.31	36	3 3 1
59.55	32	5 3 1
61.22	30	0 6 2

Atomic structure:
Unit cell a=9.0412 b=16.9333 c=3.5883 alpha=90.00 beta=90.00 gamma=90.00
Space group Cmmm (No. 65)
Symmetry-distinct sites (fractional):
Ho 0.1682 0.1659 0.0000 x8
Ho 0.2084 0.0000 0.5000 x4
Er 0.0000 0.3287 0.5000 x4
Co 0.0000 0.0000 0.0000 x2

---

2.
# RbAgICl
Theoretical powder diffractogram, Cu Kα X-rays. Input: DFT lattice parameters and positions (GGA-PBE).
Kinematic intensities with the Lorentz-polarization factor, no thermal factor.

Top 10 peaks for 10 to 90 degrees two-theta, sorted by position:
2theta	I (rel.)	index
16.18	16	0 0 1
25.10	100	0 1 1
32.70	30	0 0 2
33.33	84	1 1 0
42.17	25	2 0 1
47.38	60	1 1 2
54.78	23	1 2 1
59.56	15	3 0 0
69.62	18	3 0 2
78.36	13	1 1 4

Atomic structure:
Unit cell a=5.3769 b=5.3769 c=5.4779 alpha=90.00 beta=90.00 gamma=120.00
Space group P3m1 (No. 156)
Symmetry-distinct sites (fractional):
Rb 0.0000 0.0000 0.0000 x1
Ag 0.3333 0.6667 0.5026 x1
I 0.6667 0.3333 0.5035 x1
Cl 0.3333 0.6667 0.0033 x1

---

3.
# Na2CeBeO4
Theoretical powder diffractogram, Cu Kα X-rays. Input: DFT lattice parameters and positions (GGA-PBE).
Kinematic intensities with the Lorentz-polarization factor, no thermal factor.

Top 10 peaks for 10 to 90 degrees two-theta, sorted by position:
2theta	I (rel.)	index
13.25	100	0 1 0
19.26	40	1 1 0
22.37	91	1 0 1
26.09	92	1 1 1
30.21	51	1 2 0
31.13	90	2 1 0
32.05	61	0 2 1
35.27	55	0 0 2
43.05	46	1 3 0
47.74	44	2 1 2

Atomic structure:
Unit cell a=6.3647 b=6.6814 c=5.0894 alpha=90.00 beta=90.00 gamma=90.00
Space group Pmn2_1 (No. 31)
Symmetry-distinct sites (fractional):
Na 0.2393 0.1349 0.0000 x4
Ce 0.0000 0.3971 0.4985 x2
Be 0.0000 0.6814 0.9677 x2
O 0.0000 0.4307 0.0530 x2
O 0.0000 0.6831 0.6445 x2
O 0.2267 0.7926 0.0558 x4